The following is a computed X-ray diffraction stick pattern of MnP2O7. It was derived from a DFT-relaxed cell (GGA+U, Alexandria), using Cu Kα, 1.54184 Å.
Peak positions follow from Bragg's law for the DFT cell and can differ from measured ones.

Cell and atoms:
```
20
Lattice="4.7791 0.0000 0.0000 0.0000 7.8892 0.0000 -1.9046 0.0000 6.6338" Properties=species:S:1:pos:R:3 pbc="T T T"
Mn 0.6174 0.0000 1.5206
Mn 2.2571 3.9446 5.1132
P -0.0495 5.7933 4.0066
P 1.8365 2.5122 0.0493
P 1.0380 6.4568 6.5845
P 2.9239 1.8487 2.6272
O -0.4299 1.4803 2.2007
O -0.1618 6.6035 2.7220
O -1.1242 3.5653 6.3888
O 1.3149 1.0664 0.0903
O 1.7315 6.4521 0.8984
O 0.8820 4.5652 3.9126
O 0.5484 6.8219 5.0940
O 2.3260 2.8773 1.5399
O 1.9925 0.6206 2.7213
O 1.1430 2.5074 5.7355
O 1.5596 5.0110 6.5436
O 3.9987 7.5099 0.2451
O 3.0363 2.6589 3.9119
O 3.3044 5.4249 4.4332
```

Principal peaks in the range 5 to 70 degrees two-theta, in order of falling intensity:
| two_theta | intensity | (hkl) |
| --- | --- | --- |
| 17.5 | 1000 | 0 1 1 |
| 30.5 | 466 | 1 2 -1 |
| 23.2 | 309 | 1 1 -1 |
| 22.4 | 249 | 1 1 0 |
| 28.8 | 213 | 1 1 1 |
| 30.7 | 210 | 1 1 -2 |
| 26.5 | 150 | 1 0 1 |
| 26.3 | 95 | 0 2 1 |
| 29.2 | 93 | 0 1 2 |
| 35.4 | 90 | 0 2 2 |
| 39.3 | 90 | 1 1 2 |
| 45.0 | 85 | 1 3 -2 |